The following is a computed XRD peak list of Ce7Tl2Os. It was derived from a structure optimized by DFT (GGA-PBE), using Cu Kα, 1.54184 Å.

Crystal structure
```
Ce7Tl2Os
1.0
0.0000 5.3911 5.3911
5.3911 0.0000 5.3911
5.3911 5.3911 0.0000
Ce Tl Os
7 2 1
Cartesian
0.0000 0.0000 0.0000
5.3911 5.3911 2.6900
5.3911 2.6900 5.3911
8.0922 5.3911 5.3911
2.6900 5.3911 5.3911
5.3911 8.0922 5.3911
5.3911 5.3911 8.0922
2.6956 2.6956 2.6956
8.0867 8.0867 8.0867
5.3911 5.3911 5.3911
```

Principal peaks in the range 2θ = 15–90°, low angle first:
| 2θ/deg | I/Imax |
| --- | --- |
| 23.33 | 394 |
| 28.68 | 666 |
| 33.24 | 1000 |
| 41.01 | 186 |
| 47.71 | 731 |
| 56.62 | 298 |
| 59.39 | 254 |
| 77.12 | 120 |
| 79.51 | 329 |
| 88.94 | 258 |

***

The following is a computed XRD peak list of Ce7Tl3Os2. It was derived from a structure optimized by DFT (GGA-PBE), using Cu Kα, 1.54184 Å.

Crystal structure
```
Ce7Tl3Os2
1.0
2.6270 -12.8433 0.0000
2.6270 12.8433 0.0000
0.0000 0.0000 5.2974
Ce Tl Os
7 3 2
Cartesian
0.0000 0.0000 0.0000
2.6270 10.4910 2.6487
2.6270 7.1901 0.0000
2.6270 2.9026 0.0000
2.6270 -2.9026 0.0000
2.6270 -7.1901 0.0000
2.6270 -10.4910 2.6487
2.6270 5.0015 2.6487
2.6270 0.0000 2.6487
2.6270 -5.0015 2.6487
2.6270 10.0263 0.0000
2.6270 -10.0263 0.0000
```

Principal peaks in the range 2θ = 15–90°, low angle first:
| 2θ/deg | I/Imax |
| --- | --- |
| 24.23 | 227 |
| 29.59 | 1000 |
| 32.61 | 225 |
| 33.84 | 524 |
| 34.13 | 512 |
| 34.93 | 301 |
| 48.83 | 377 |
| 49.43 | 227 |
| 49.64 | 225 |
| 61.43 | 239 |

***

The following is a computed XRD peak list of Ce2TlZnOs. It was derived from a structure optimized by DFT (GGA-PBE), using Cu Kα, 1.54184 Å.

Crystal structure
```
Ce2TlZnOs
1.0
8.0692 0.0000 0.0000
0.0000 4.0111 0.0000
-2.8561 0.0000 7.5646
Ce Tl Zn Os
4 2 2 2
Cartesian
-0.1056 1.0028 2.5583
-0.5420 1.0028 7.5217
5.7551 3.0083 0.0428
5.3187 3.0083 5.0062
0.6119 3.0083 5.1389
4.6011 1.0028 2.4257
2.5018 3.0083 2.7354
2.7113 1.0028 4.8292
0.6998 3.0083 0.8499
4.5132 1.0028 6.7147
```

Principal peaks in the range 2θ = 15–90°, low angle first:
| 2θ/deg | I/Imax |
| --- | --- |
| 22.29 | 352 |
| 29.96 | 557 |
| 31.62 | 1000 |
| 32.54 | 662 |
| 35.08 | 511 |
| 35.61 | 296 |
| 37.58 | 651 |
| 40.38 | 553 |
| 41.94 | 315 |
| 45.20 | 466 |